Zr2TiPb3O9: simulated X-ray powder pattern (Cu Kα, 1.54184 Å), based on DFT lattice parameters and positions (PBE).

Crystal structure
Cell lengths 9.244, 9.244, 4.227 Å; angles 90.42, 90.42, 142.77 degrees
Atoms (fractional coordinates):
Zr  0.166  0.834  0.000
Zr  0.834  0.166  0.000
Ti  0.497  0.497  0.022
Pb  0.301  0.619  0.559
Pb  0.619  0.301  0.559
Pb  0.945  0.945  0.551
O  0.039  0.528  0.957
O  0.203  0.882  0.482
O  0.208  0.371  0.958
O  0.371  0.208  0.958
O  0.527  0.527  0.454
O  0.528  0.039  0.957
O  0.686  0.842  0.950
O  0.842  0.686  0.950
O  0.882  0.203  0.482

Most intense lines, 2θ from 5° to 70°, by intensity:
d [Å], I (rel.)
2.985, 100
2.937, 100
2.950, 49
2.075, 49
2.920, 48
4.150, 44
1.690, 38
1.699, 29
2.113, 25
4.226, 25
2.402, 23
1.712, 20